# Sc3NbCo4
Computed powder XRD pattern, copper Kα. Input: DFT lattice parameters and positions (GGA-PBE).
Intensities are scaled so that the largest is 100.

The 8 most intense peaks (2θ = 10–90°), by angle:
two_theta	I_rel
14.22	5
21.36	4
29.53	2
40.92	100
59.22	10
59.33	5
74.53	29
88.72	9

Structural model:
a = 6.968 Å, b = 6.968 Å, c = 6.968 Å
α = 143.08°, β = 143.08°, γ = 53.21°
Positions (direct):
Sc  0.000  0.000  0.000
Sc  0.250  0.250  0.000
Sc  0.750  0.750  0.000
Nb  0.500  0.500  0.000
Co  0.118  0.618  0.500
Co  0.382  0.882  0.500
Co  0.618  0.118  0.500
Co  0.882  0.382  0.500